Simulated powder diffraction line list
Compound: Mn2Mo2NO10
Radiation: Cu Kα
Structure: the PBE+U geometry in Alexandria
Intensities are scaled so that the largest is 100.

Structure:
Unit cell a=9.9528 b=5.9391 c=8.6616 alpha=90.00 beta=110.97 gamma=90.00
Space group C2/m (No. 12)
Inequivalent atoms, fractional coordinates:
Mn (0.2500, 0.2500, 0.0000)
Mo (0.0539, 0.0000, 0.2432)
N (0.0000, 0.5000, 0.5000)
O (0.0629, 0.2428, 0.8074)
O (0.1531, 0.0000, 0.4510)
O (0.1724, 0.0000, 0.1096)
O (0.1889, 0.5000, 0.0866)

Main lines, low angle first (2θ from 5° to 70°):
2theta	I (rel.)
10.94	96
17.72	100
23.43	62
25.29	33
25.51	42
30.88	32
35.45	33
51.89	30